# 1
SbAsAuF9: simulated X-ray diffraction stick pattern (Cu Kα, 1.54184 Å), based on a cell relaxed with GGA-PBE.

Top 8 peaks for 2θ from 15° to 90°, low angle first:
16.2 deg, 5.467 Å, rel. 35, (0 0 2)
17.2 deg, 5.157 Å, rel. 27, (1 1 -2)
19.1 deg, 4.647 Å, rel. 60, (0 2 0)
21.9 deg, 4.051 Å, rel. 91, (2 0 -2)
22.1 deg, 4.031 Å, rel. 100, (1 2 -1)
23.1 deg, 3.849 Å, rel. 27, (1 2 0)
27.9 deg, 3.198 Å, rel. 27, (1 0 -4)
29.2 deg, 3.053 Å, rel. 33, (2 2 -2)

Structural model:
Unit cell a=8.148 b=9.293 c=12.966 alpha=90.00 beta=122.50 gamma=90.00
Space group P2_1/c (No. 14)
Symmetry-distinct sites (fractional):
Sb: 0.162 0.175 0.422 [4 per cell]
As: 0.364 0.636 0.614 [4 per cell]
Au: 0.123 0.708 0.418 [4 per cell]
F: 0.116 0.678 0.163 [4 per cell]
F: 0.123 0.250 0.265 [4 per cell]
F: 0.151 0.515 0.860 [4 per cell]
F: 0.165 0.129 0.970 [4 per cell]
F: 0.191 0.103 0.568 [4 per cell]
F: 0.300 0.535 0.699 [4 per cell]
F: 0.436 0.186 0.487 [4 per cell]
F: 0.449 0.029 0.869 [4 per cell]
F: 0.499 0.235 0.278 [4 per cell]

***

# 2
Zr9V4S: simulated X-ray diffraction stick pattern (Cu Kα, 1.54184 Å), based on a cell relaxed with GGA-PBE.

Top 8 peaks for 2θ from 15° to 90°, low angle first:
31.8 deg, 2.817 Å, rel. 51, (2 0 2)
33.7 deg, 2.661 Å, rel. 30, (1 0 3)
37.5 deg, 2.398 Å, rel. 67, (3 0 1)
38.1 deg, 2.361 Å, rel. 100, (2 1 2)
39.8 deg, 2.267 Å, rel. 48, (2 0 3)
41.7 deg, 2.164 Å, rel. 29, (2 2 0)
63.2 deg, 1.472 Å, rel. 33, (3 2 3)
66.3 deg, 1.410 Å, rel. 27, (3 0 5)

Structural model:
Unit cell a=8.6563 b=8.6563 c=8.5384 alpha=90.00 beta=90.00 gamma=120.00
Space group P6_3/mmc (No. 194)
Symmetry-distinct sites (fractional):
Zr: 0.0840 0.5420 0.2500 [6 per cell]
Zr: 0.1955 0.3911 0.5512 [12 per cell]
V: 0.0000 0.0000 0.0000 [2 per cell]
V: 0.1039 0.2077 0.2500 [6 per cell]
S: 0.3333 0.6667 0.7500 [2 per cell]